La3Si7Ni3: simulated X-ray diffraction stick pattern (Cu Kα X-rays), based on DFT lattice parameters and positions (GGA-PBE).
No peak broadening, texture or thermal motion is included.

Top 8 peaks for 2θ from 10° to 80°, in order of falling intensity:
Position (°2θ)  I/Imax
34.88  100
34.77  80
30.42  73
42.84  40
43.70  38
37.90  38
57.02  38
32.32  26

Crystal structure
a b c (Å): 4.2218 13.2010 13.2010
angles (deg): 18.06 90.00 90.00
Element x y z (fractional)
1 La 0.0000 0.0000 0.0000
2 La 0.0000 0.3680 0.3680
3 La 0.5000 0.6850 0.6850
4 Si 0.0000 0.1474 0.1474
5 Si 0.0000 0.5911 0.5911
6 Si 0.0000 0.7773 0.7773
7 Si 0.5000 0.0919 0.0919
8 Si 0.5000 0.2772 0.2772
9 Si 0.5000 0.4616 0.4616
10 Si 0.5000 0.9094 0.9094
11 Ni 0.0000 0.2347 0.2347
12 Ni 0.5000 0.5532 0.5532
13 Ni 0.5000 0.8195 0.8195

La4Ni3Sn8: simulated X-ray diffraction stick pattern (Cu Kα X-rays), based on DFT lattice parameters and positions (GGA-PBE).
No peak broadening, texture or thermal motion is included.

Top 8 peaks for 2θ from 10° to 80°, in order of falling intensity:
Position (°2θ)  I/Imax
31.42  100
39.59  21
39.45  20
35.54  19
57.12  14
66.75  12
54.24  12
66.56  10

Crystal structure
a b c (Å): 4.5533 4.5687 18.1925
angles (deg): 90.00 90.00 90.00
Element x y z (fractional)
1 La 0.0000 0.0000 0.0000
2 La 0.0000 0.5000 0.2138
3 La 0.5000 0.0000 0.5002
4 La 0.5000 0.5000 0.7179
5 Ni 0.0000 0.0000 0.7932
6 Ni 0.5000 0.0000 0.2945
7 Ni 0.5000 0.5000 0.9253
8 Sn 0.0000 0.0000 0.3630
9 Sn 0.0000 0.0000 0.6562
10 Sn 0.0000 0.5000 0.5565
11 Sn 0.0000 0.5000 0.8577
12 Sn 0.5000 0.0000 0.1569
13 Sn 0.5000 0.0000 0.8597
14 Sn 0.5000 0.5000 0.0615
15 Sn 0.5000 0.5000 0.3626